1.
The following is a theoretical X-ray diffraction stick pattern of Mg6NbH16. It was derived from a PBE-relaxed structure, using Cu Kα (λ = 1.5418 Å).
Neutral-atom scattering factors, no anomalous dispersion.

Crystal structure
```
data_Mg6NbH16
_cell_length_a 9.4814
_cell_length_b 9.4814
_cell_length_c 9.4814
_cell_angle_alpha 90.00
_cell_angle_beta 90.00
_cell_angle_gamma 90.00
_space_group_name_H-M_alt 'F m -3 m'
_space_group_IT_number 225
_space_group_name_Hall '-F 4 2 3'
loop_
_atom_site_label
_atom_site_type_symbol
_atom_site_fract_x
_atom_site_fract_y
_atom_site_fract_z
_atom_site_occupancy
Mg1 Mg 0.0000 0.2500 0.2500 1
Nb1 Nb 0.0000 0.0000 0.0000 1
H1 H 0.1154 0.1154 0.1154 1
H2 H 0.1430 0.1430 0.3570 1
```

Most intense lines, 2θ from 5° to 70°, sorted by position:
| d_spacing | 2θ/deg | Rel. int. | index |
| --- | --- | --- | --- |
| 5.474 | 16.19 | 898 | 1 1 1 |
| 2.859 | 31.29 | 498 | 3 1 1 |
| 2.737 | 32.72 | 1000 | 2 2 2 |
| 2.370 | 37.96 | 418 | 4 0 0 |
| 2.175 | 41.52 | 211 | 3 3 1 |
| 1.825 | 49.98 | 167 | 3 3 3 |
| 1.676 | 54.77 | 362 | 4 4 0 |
| 1.603 | 57.51 | 173 | 5 3 1 |
| 1.429 | 65.28 | 378 | 6 2 2 |
| 1.369 | 68.57 | 101 | 4 4 4 |

2.
The following is a theoretical X-ray diffraction stick pattern of Pm2PrCu9. It was derived from a PBE-relaxed structure, using Cu Kα (λ = 1.5418 Å).
Neutral-atom scattering factors, no anomalous dispersion.

Crystal structure
```
data_Pm2PrCu9
_cell_length_a 5.2653
_cell_length_b 5.2653
_cell_length_c 25.1375
_cell_angle_alpha 90.00
_cell_angle_beta 90.00
_cell_angle_gamma 120.00
_space_group_name_H-M_alt 'R -3 m'
_space_group_IT_number 166
_space_group_name_Hall '-R 3 2"'
loop_
_atom_site_label
_atom_site_type_symbol
_atom_site_fract_x
_atom_site_fract_y
_atom_site_fract_z
_atom_site_occupancy
Pm1 Pm 0.0000 0.0000 0.1440 1
Pr1 Pr 0.0000 0.0000 0.0000 1
Cu1 Cu 0.0000 0.0000 0.3315 1
Cu2 Cu 0.0000 0.0000 0.5000 1
Cu3 Cu 0.0047 0.5023 0.0813 1
```

Most intense lines, 2θ from 5° to 70°, sorted by position:
| d_spacing | 2θ/deg | Rel. int. | index |
| --- | --- | --- | --- |
| 2.821 | 31.72 | 400 | 1 0 7 |
| 2.633 | 34.06 | 445 | 1 1 0 |
| 2.587 | 34.67 | 234 | 0 1 8 |
| 2.271 | 39.70 | 344 | 0 2 1 |
| 2.229 | 40.47 | 1000 | 1 1 6 |
| 2.095 | 43.19 | 153 | 0 0 12 |
| 2.076 | 43.59 | 140 | 2 0 5 |
| 2.043 | 44.34 | 119 | 0 1 11 |
| 1.554 | 59.49 | 127 | 2 1 7 |
| 1.429 | 65.31 | 230 | 0 3 6 |

3.
The following is a theoretical X-ray diffraction stick pattern of Nd6MgSn3. It was derived from a PBE-relaxed structure, using Cu Kα (λ = 1.5418 Å).
Neutral-atom scattering factors, no anomalous dispersion.

Crystal structure
```
data_Nd6MgSn3
_cell_length_a 11.9319
_cell_length_b 11.9060
_cell_length_c 8.9098
_cell_angle_alpha 90.00
_cell_angle_beta 90.00
_cell_angle_gamma 90.00
_space_group_name_H-M_alt 'C m c m'
_space_group_IT_number 63
_space_group_name_Hall '-C 2c 2'
loop_
_atom_site_label
_atom_site_type_symbol
_atom_site_fract_x
_atom_site_fract_y
_atom_site_fract_z
_atom_site_occupancy
Nd1 Nd 0.0000 0.1655 0.0056 1
Nd2 Nd 0.1743 0.5000 0.0000 1
Nd3 Nd 0.2489 0.2550 0.2500 1
Mg1 Mg 0.0000 0.3777 0.7500 1
Sn1 Sn 0.0000 0.3724 0.2500 1
Sn2 Sn 0.1299 0.0011 0.2500 1
```

Most intense lines, 2θ from 5° to 70°, sorted by position:
| d_spacing | 2θ/deg | Rel. int. | index |
| --- | --- | --- | --- |
| 3.061 | 29.17 | 394 | 2 2 2 |
| 2.979 | 30.00 | 116 | 0 4 0 |
| 2.877 | 31.08 | 1000 | 3 1 2 |
| 2.665 | 33.63 | 477 | 4 2 0 |
| 2.227 | 40.50 | 192 | 0 0 4 |
| 1.858 | 49.04 | 130 | 3 5 2 |
| 1.709 | 53.62 | 255 | 4 2 4 |
| 1.549 | 59.68 | 121 | 4 6 2 |
| 1.476 | 62.95 | 132 | 3 7 2 |
| 1.382 | 67.83 | 107 | 3 1 6 |

4.
The following is a theoretical X-ray diffraction stick pattern of PbAuBr5. It was derived from a PBE-relaxed structure, using Cu Kα (λ = 1.5418 Å).
Neutral-atom scattering factors, no anomalous dispersion.

Crystal structure
```
data_PbAuBr5
_cell_length_a 15.1215
_cell_length_b 5.9359
_cell_length_c 13.8341
_cell_angle_alpha 90.00
_cell_angle_beta 117.11
_cell_angle_gamma 90.00
_space_group_name_H-M_alt 'C 1 2/c 1'
_space_group_IT_number 15
_space_group_name_Hall '-C 2yc'
loop_
_atom_site_label
_atom_site_type_symbol
_atom_site_fract_x
_atom_site_fract_y
_atom_site_fract_z
_atom_site_occupancy
Pb1 Pb 0.0000 0.0141 0.2500 1
Au1 Au 0.2500 0.2500 0.5000 1
Br1 Br 0.0000 0.4708 0.7500 1
Br2 Br 0.1138 0.0224 0.5036 1
Br3 Br 0.2298 0.0524 0.3331 1
```

Most intense lines, 2θ from 5° to 70°, sorted by position:
| d_spacing | 2θ/deg | Rel. int. | index |
| --- | --- | --- | --- |
| 6.147 | 14.41 | 1000 | 2 0 -2 |
| 5.431 | 16.32 | 650 | 1 1 0 |
| 5.345 | 16.58 | 542 | 1 1 -1 |
| 3.765 | 23.63 | 365 | 2 0 2 |
| 3.366 | 26.48 | 378 | 4 0 0 |
| 3.078 | 29.01 | 423 | 0 0 4 |
| 2.695 | 33.24 | 469 | 5 1 -2 |
| 2.330 | 38.65 | 438 | 4 2 -2 |
| 2.252 | 40.03 | 365 | 2 2 -4 |
| 1.917 | 47.43 | 363 | 4 2 2 |

5.
The following is a theoretical X-ray diffraction stick pattern of LiSiB. It was derived from a PBE-relaxed structure, using Cu Kα (λ = 1.5418 Å).
Neutral-atom scattering factors, no anomalous dispersion.

Crystal structure
```
data_LiSiB
_cell_length_a 3.6756
_cell_length_b 14.7296
_cell_length_c 3.1135
_cell_angle_alpha 90.00
_cell_angle_beta 90.00
_cell_angle_gamma 90.00
_space_group_name_H-M_alt 'C m c m'
_space_group_IT_number 63
_space_group_name_Hall '-C 2c 2'
loop_
_atom_site_label
_atom_site_type_symbol
_atom_site_fract_x
_atom_site_fract_y
_atom_site_fract_z
_atom_site_occupancy
Li1 Li 0.0000 0.0891 0.2500 1
Si1 Si 0.0000 0.2667 0.7500 1
B1 B 0.0000 0.5000 0.0000 1
```

Most intense lines, 2θ from 5° to 70°, sorted by position:
| d_spacing | 2θ/deg | Rel. int. | index |
| --- | --- | --- | --- |
| 7.365 | 12.02 | 1000 | 0 2 0 |
| 3.682 | 24.17 | 732 | 0 4 0 |
| 2.455 | 36.60 | 89 | 0 6 0 |
| 2.345 | 38.38 | 502 | 1 1 1 |
| 2.299 | 39.19 | 258 | 1 5 0 |
| 2.139 | 42.26 | 595 | 1 3 1 |
| 1.849 | 49.27 | 188 | 1 5 1 |
| 1.839 | 49.58 | 201 | 2 0 0 |
| 1.644 | 55.92 | 107 | 2 4 0 |
| 1.523 | 60.82 | 99 | 0 2 2 |

6.
The following is a theoretical X-ray diffraction stick pattern of Mg2CoRu. It was derived from a PBE-relaxed structure, using Cu Kα (λ = 1.5418 Å).
Neutral-atom scattering factors, no anomalous dispersion.

Crystal structure
```
data_Mg2CoRu
_cell_length_a 2.9903
_cell_length_b 2.9903
_cell_length_c 7.2160
_cell_angle_alpha 90.00
_cell_angle_beta 90.00
_cell_angle_gamma 90.00
_space_group_name_H-M_alt 'P 4 m m'
_space_group_IT_number 99
_space_group_name_Hall 'P 4 -2'
loop_
_atom_site_label
_atom_site_type_symbol
_atom_site_fract_x
_atom_site_fract_y
_atom_site_fract_z
_atom_site_occupancy
Mg1 Mg 0.0000 0.0000 0.0000 1
Mg2 Mg 0.5000 0.5000 0.3407 1
Co1 Co 0.5000 0.5000 0.7694 1
Ru1 Ru 0.0000 0.0000 0.5872 1
```

Most intense lines, 2θ from 5° to 70°, sorted by position:
| d_spacing | 2θ/deg | Rel. int. | index |
| --- | --- | --- | --- |
| 7.216 | 12.27 | 1000 | 0 0 1 |
| 3.608 | 24.67 | 42 | 0 0 2 |
| 2.763 | 32.41 | 96 | 1 0 1 |
| 2.302 | 39.13 | 645 | 1 0 2 |
| 2.114 | 42.76 | 310 | 1 1 0 |
| 2.029 | 44.66 | 157 | 1 1 1 |
| 1.874 | 48.58 | 251 | 1 0 3 |
| 1.495 | 62.08 | 98 | 2 0 0 |
| 1.464 | 63.55 | 53 | 2 0 1 |
| 1.372 | 68.35 | 54 | 1 1 4 |

7.
The following is a theoretical X-ray diffraction stick pattern of LaZr2. It was derived from a PBE-relaxed structure, using Cu Kα (λ = 1.5418 Å).
Neutral-atom scattering factors, no anomalous dispersion.

Crystal structure
```
data_LaZr2
_cell_length_a 3.3225
_cell_length_b 18.4774
_cell_length_c 5.3542
_cell_angle_alpha 90.00
_cell_angle_beta 90.00
_cell_angle_gamma 90.00
_space_group_name_H-M_alt 'C m c m'
_space_group_IT_number 63
_space_group_name_Hall '-C 2c 2'
loop_
_atom_site_label
_atom_site_type_symbol
_atom_site_fract_x
_atom_site_fract_y
_atom_site_fract_z
_atom_site_occupancy
La1 La 0.0000 0.0613 0.2500 1
Zr1 Zr 0.0000 0.2734 0.7500 1
Zr2 Zr 0.0000 0.3684 0.2500 1
```

Most intense lines, 2θ from 5° to 70°, sorted by position:
| d_spacing | 2θ/deg | Rel. int. | index |
| --- | --- | --- | --- |
| 3.498 | 25.47 | 161 | 0 4 1 |
| 2.924 | 30.57 | 288 | 1 3 0 |
| 2.673 | 33.53 | 960 | 0 0 2 |
| 2.566 | 34.96 | 1000 | 1 3 1 |
| 1.975 | 45.96 | 183 | 1 3 2 |
| 1.747 | 52.39 | 160 | 1 9 0 |
| 1.544 | 59.90 | 100 | 0 6 3 |
| 1.523 | 60.80 | 196 | 1 3 3 |
| 1.463 | 63.61 | 179 | 1 9 2 |
| 1.411 | 66.24 | 268 | 2 0 2 |

8.
The following is a theoretical X-ray diffraction stick pattern of LaPm6Tm. It was derived from a PBE-relaxed structure, using Cu Kα (λ = 1.5418 Å).
Neutral-atom scattering factors, no anomalous dispersion.

Crystal structure
```
data_LaPm6Tm
_cell_length_a 5.1513
_cell_length_b 5.1513
_cell_length_c 10.3105
_cell_angle_alpha 90.00
_cell_angle_beta 90.00
_cell_angle_gamma 90.00
_space_group_name_H-M_alt 'P 4/m m m'
_space_group_IT_number 123
_space_group_name_Hall '-P 4 2'
loop_
_atom_site_label
_atom_site_type_symbol
_atom_site_fract_x
_atom_site_fract_y
_atom_site_fract_z
_atom_site_occupancy
La1 La 0.0000 0.0000 0.0000 1
Pm1 Pm 0.0000 0.5000 0.2548 1
Pm2 Pm 0.5000 0.5000 0.0000 1
Pm3 Pm 0.5000 0.5000 0.5000 1
Tm1 Tm 0.0000 0.0000 0.5000 1
```

Most intense lines, 2θ from 5° to 70°, sorted by position:
| d_spacing | 2θ/deg | Rel. int. | index |
| --- | --- | --- | --- |
| 10.311 | 8.58 | 7 | 0 0 1 |
| 2.975 | 30.04 | 1000 | 1 1 2 |
| 2.576 | 34.82 | 507 | 2 0 0 |
| 1.822 | 50.07 | 362 | 2 2 0 |
| 1.554 | 59.50 | 431 | 3 1 2 |
| 1.487 | 62.43 | 124 | 2 2 4 |

9.
The following is a theoretical X-ray diffraction stick pattern of Er12Co6Rh. It was derived from a PBE-relaxed structure, using Cu Kα (λ = 1.5418 Å).
Neutral-atom scattering factors, no anomalous dispersion.

Crystal structure
```
data_Er12Co6Rh
_cell_length_a 9.4262
_cell_length_b 9.4262
_cell_length_c 9.4262
_cell_angle_alpha 90.00
_cell_angle_beta 90.00
_cell_angle_gamma 90.00
_space_group_name_H-M_alt 'I m -3'
_space_group_IT_number 204
_space_group_name_Hall '-I 2 2 3'
loop_
_atom_site_label
_atom_site_type_symbol
_atom_site_fract_x
_atom_site_fract_y
_atom_site_fract_z
_atom_site_occupancy
Er1 Er 0.0000 0.1927 0.2967 1
Co1 Co 0.0000 0.3845 0.5000 1
Rh1 Rh 0.0000 0.0000 0.0000 1
```

Most intense lines, 2θ from 5° to 70°, sorted by position:
| d_spacing | 2θ/deg | Rel. int. | index |
| --- | --- | --- | --- |
| 3.333 | 26.75 | 106 | 2 2 0 |
| 2.981 | 29.98 | 421 | 3 1 0 |
| 2.721 | 32.92 | 586 | 2 2 2 |
| 2.519 | 35.64 | 1000 | 3 2 1 |
| 2.357 | 38.19 | 232 | 4 0 0 |
| 2.222 | 40.61 | 100 | 3 3 0 |
| 1.849 | 49.29 | 196 | 5 1 0 |
| 1.617 | 56.96 | 385 | 5 0 3 |
| 1.571 | 58.77 | 112 | 6 0 0 |
| 1.529 | 60.55 | 380 | 5 3 2 |

10.
The following is a theoretical X-ray diffraction stick pattern of Mn4Fe5N. It was derived from a PBE-relaxed structure, using Cu Kα (λ = 1.5418 Å).
Neutral-atom scattering factors, no anomalous dispersion.

Crystal structure
```
data_Mn4Fe5N
_cell_length_a 2.7429
_cell_length_b 6.7315
_cell_length_c 12.2079
_cell_angle_alpha 90.00
_cell_angle_beta 90.00
_cell_angle_gamma 90.00
_space_group_name_H-M_alt 'I m m m'
_space_group_IT_number 71
_space_group_name_Hall '-I 2 2'
loop_
_atom_site_label
_atom_site_type_symbol
_atom_site_fract_x
_atom_site_fract_y
_atom_site_fract_z
_atom_site_occupancy
Mn1 Mn 0.0000 0.0000 0.1615 1
Mn2 Mn 0.0000 0.3089 0.0000 1
Fe1 Fe 0.0000 0.1901 0.3274 1
Fe2 Fe 0.0000 0.5000 0.5000 1
N1 N 0.0000 0.0000 0.5000 1
```

Most intense lines, 2θ from 5° to 70°, sorted by position:
| d_spacing | 2θ/deg | Rel. int. | index |
| --- | --- | --- | --- |
| 2.540 | 35.34 | 86 | 1 1 0 |
| 2.345 | 38.38 | 365 | 1 1 2 |
| 2.274 | 39.63 | 129 | 1 0 3 |
| 2.207 | 40.89 | 411 | 0 3 1 |
| 2.035 | 44.53 | 465 | 0 0 6 |
| 1.965 | 46.20 | 94 | 0 3 3 |
| 1.952 | 46.51 | 207 | 1 1 4 |
| 1.885 | 48.29 | 1000 | 1 2 3 |
| 1.652 | 55.63 | 177 | 0 3 5 |
| 1.371 | 68.41 | 117 | 2 0 0 |

11.
The following is a theoretical X-ray diffraction stick pattern of U3P2. It was derived from a PBE-relaxed structure, using Cu Kα (λ = 1.5418 Å).
Neutral-atom scattering factors, no anomalous dispersion.

Crystal structure
```
data_U3P2
_cell_length_a 3.8477
_cell_length_b 6.9508
_cell_length_c 6.9927
_cell_angle_alpha 90.00
_cell_angle_beta 90.00
_cell_angle_gamma 90.00
_space_group_name_H-M_alt 'I m m m'
_space_group_IT_number 71
_space_group_name_Hall '-I 2 2'
loop_
_atom_site_label
_atom_site_type_symbol
_atom_site_fract_x
_atom_site_fract_y
_atom_site_fract_z
_atom_site_occupancy
U1 U 0.0000 0.0000 0.0000 1
U2 U 0.0000 0.5000 0.2066 1
P1 P 0.0000 0.2177 0.5000 1
```

Most intense lines, 2θ from 5° to 70°, sorted by position:
| d_spacing | 2θ/deg | Rel. int. | index |
| --- | --- | --- | --- |
| 3.475 | 25.63 | 442 | 0 2 0 |
| 3.369 | 26.45 | 269 | 1 0 1 |
| 2.423 | 37.10 | 1000 | 1 1 2 |
| 2.210 | 40.83 | 206 | 0 1 3 |
| 1.924 | 47.25 | 125 | 2 0 0 |
| 1.738 | 52.67 | 87 | 0 4 0 |
| 1.726 | 53.05 | 223 | 1 3 2 |
| 1.683 | 54.52 | 124 | 2 2 0 |
| 1.643 | 55.96 | 98 | 0 3 3 |
| 1.451 | 64.18 | 114 | 2 1 3 |

12.
The following is a theoretical X-ray diffraction stick pattern of Mg2Ir2Rh15. It was derived from a PBE-relaxed structure, using Cu Kα (λ = 1.5418 Å).
Neutral-atom scattering factors, no anomalous dispersion.

Crystal structure
```
data_Mg2Ir2Rh15
_cell_length_a 8.6934
_cell_length_b 8.6934
_cell_length_c 13.6684
_cell_angle_alpha 90.00
_cell_angle_beta 90.00
_cell_angle_gamma 120.00
_space_group_name_H-M_alt 'R -3 m'
_space_group_IT_number 166
_space_group_name_Hall '-R 3 2"'
loop_
_atom_site_label
_atom_site_type_symbol
_atom_site_fract_x
_atom_site_fract_y
_atom_site_fract_z
_atom_site_occupancy
Mg1 Mg 0.0000 0.0000 0.0947 1
Ir1 Ir 0.0000 0.0000 0.2815 1
Rh1 Rh 0.0000 0.3218 0.0000 1
Rh2 Rh 0.0000 0.5000 0.5000 1
Rh3 Rh 0.0076 0.5038 0.1543 1
```

Most intense lines, 2θ from 5° to 70°, sorted by position:
| d_spacing | 2θ/deg | Rel. int. | index |
| --- | --- | --- | --- |
| 5.060 | 17.53 | 318 | 0 1 2 |
| 2.627 | 34.13 | 221 | 1 2 2 |
| 2.510 | 35.78 | 308 | 3 0 0 |
| 2.278 | 39.56 | 253 | 0 0 6 |
| 2.212 | 40.79 | 167 | 2 0 5 |
| 2.198 | 41.06 | 1000 | 0 3 3 |
| 2.173 | 41.55 | 425 | 2 2 0 |
| 2.018 | 44.92 | 378 | 1 1 6 |
| 1.962 | 46.28 | 586 | 2 2 3 |
| 1.381 | 67.88 | 209 | 3 3 3 |

Question: What is the formula in the ninth record?
Answer: Er12Co6Rh